Entry 1:
Simulated powder diffraction line list
Compound: ZnFe2As
Radiation: λ = 1.5418 Å (Cu Kα)
Structure: the PBE geometry in Alexandria
No peak broadening, texture or thermal motion is included.

Largest 10 diffraction maxima, low angle first, 2θ = 10–90°:
| 2θ/deg | Rel. int. |
| --- | --- |
| 39.62 | 100 |
| 42.12 | 42 |
| 44.98 | 34 |
| 47.47 | 58 |
| 50.37 | 24 |
| 63.68 | 11 |
| 69.62 | 17 |
| 73.78 | 15 |
| 79.33 | 12 |
| 81.33 | 11 |

Cell and atoms:
a b c (Å): 4.363 4.363 4.569
angles (deg): 100.72 100.72 39.13
Fractional positions:
Zn: 0.000 0.000 0.000
Fe: 0.247 0.247 0.742
Fe: 0.753 0.753 0.258
As: 0.500 0.500 0.500

---

Entry 2:
Simulated powder diffraction line list
Compound: PaGa3Ni2
Radiation: λ = 1.5418 Å (Cu Kα)
Structure: the PBE geometry in Alexandria
No peak broadening, texture or thermal motion is included.

Largest 10 diffraction maxima, low angle first, 2θ = 10–90°:
| 2θ/deg | Rel. int. |
| --- | --- |
| 14.78 | 21 |
| 28.28 | 26 |
| 33.87 | 23 |
| 34.38 | 55 |
| 35.55 | 100 |
| 38.87 | 19 |
| 39.20 | 37 |
| 39.59 | 35 |
| 45.73 | 33 |
| 48.76 | 21 |

Cell and atoms:
a b c (Å): 6.076 6.076 5.294
angles (deg): 90.00 90.00 80.60
Fractional positions:
Pa: 0.119 0.881 0.750
Pa: 0.881 0.119 0.250
Ga: 0.058 0.603 0.250
Ga: 0.397 0.942 0.250
Ga: 0.497 0.503 0.250
Ga: 0.503 0.497 0.750
Ga: 0.603 0.058 0.750
Ga: 0.942 0.397 0.750
Ni: 0.274 0.274 0.000
Ni: 0.274 0.274 0.500
Ni: 0.726 0.726 0.000
Ni: 0.726 0.726 0.500

---

- Number 1 is which compound?
  ZnFe2As